1.
The following is a theoretical X-ray powder pattern of Ba2MgTi2CuF14. It was derived from a crystal structure in the Materials Project, relaxed with PBE, using Cu Kα (weighted mean of Kα1 and Kα2).
Lines closer than 0.1° are merged.

Peak list (10 most intense, 2θ = 10–90°, low angle first)
2θ/deg	I (rel.)
18.87	20
23.85	28
25.10	100
28.31	21
29.62	29
30.19	21
36.44	20
39.03	26
40.80	26
50.01	20

```
data_Ba2MgTi2CuF14
_symmetry_space_group_name_H-M 'P 1'
_symmetry_Int_Tables_number 1
_symmetry_space_group_name_Hall 'P 1'
_cell_length_a 7.630
_cell_length_b 7.630
_cell_length_c 14.949
_cell_angle_alpha 93.01
_cell_angle_beta 93.01
_cell_angle_gamma 40.82
loop_
_atom_site_label
_atom_site_type_symbol
_atom_site_fract_x
_atom_site_fract_y
_atom_site_fract_z
Ba1 Ba 0.087 0.272 0.125
Ba2 Ba 0.272 0.087 0.625
Ba3 Ba 0.728 0.913 0.375
Ba4 Ba 0.913 0.728 0.875
Mg1 Mg 0.450 0.550 0.250
Mg2 Mg 0.550 0.450 0.750
Ti1 Ti 0.102 0.143 0.375
Ti2 Ti 0.143 0.102 0.875
Ti3 Ti 0.857 0.898 0.125
Ti4 Ti 0.898 0.857 0.625
Cu1 Cu 0.500 0.500 0.000
Cu2 Cu 0.500 0.500 0.500
F1 F 0.022 0.644 0.225
F2 F 0.097 0.736 0.517
F3 F 0.105 0.894 0.164
F4 F 0.106 0.895 0.336
F5 F 0.125 0.578 0.046
F6 F 0.143 0.356 0.397
F7 F 0.195 0.578 0.708
F8 F 0.264 0.903 0.983
F9 F 0.356 0.143 0.897
F10 F 0.356 0.978 0.275
F11 F 0.392 0.516 0.868
F12 F 0.422 0.805 0.792
F13 F 0.422 0.875 0.454
F14 F 0.484 0.608 0.632
F15 F 0.516 0.392 0.368
F16 F 0.578 0.125 0.546
F17 F 0.578 0.195 0.208
F18 F 0.608 0.484 0.132
F19 F 0.644 0.022 0.725
F20 F 0.644 0.857 0.103
F21 F 0.736 0.097 0.017
F22 F 0.805 0.422 0.292
F23 F 0.857 0.644 0.603
F24 F 0.875 0.422 0.954
F25 F 0.894 0.105 0.664
F26 F 0.895 0.106 0.836
F27 F 0.903 0.264 0.483
F28 F 0.978 0.356 0.775
```



2.
The following is a theoretical X-ray powder pattern of Tb4MgP4O16. It was derived from a crystal structure in the Materials Project, relaxed with PBE, using Cu Kα (weighted mean of Kα1 and Kα2).
Lines closer than 0.1° are merged.

Peak list (10 most intense, 2θ = 10–90°, low angle first)
2θ/deg	I (rel.)
18.94	100
21.29	45
22.67	56
26.76	97
26.99	46
29.06	52
29.54	53
31.22	79
34.00	47
34.98	49

```
data_Tb4MgP4O16
_symmetry_space_group_name_H-M 'P 1'
_symmetry_Int_Tables_number 1
_symmetry_space_group_name_Hall 'P 1'
_cell_length_a 6.368
_cell_length_b 6.634
_cell_length_c 8.274
_cell_angle_alpha 89.77
_cell_angle_beta 71.56
_cell_angle_gamma 84.45
loop_
_atom_site_label
_atom_site_type_symbol
_atom_site_fract_x
_atom_site_fract_y
_atom_site_fract_z
Tb1 Tb 0.000 0.000 0.000
Tb2 Tb 0.037 0.073 0.461
Tb3 Tb 0.406 0.780 0.612
Tb4 Tb 0.618 0.348 0.854
Mg1 Mg 0.306 0.511 0.250
P1 P 0.113 0.473 0.955
P2 P 0.455 0.876 0.034
P3 P 0.593 0.227 0.424
P4 P 0.963 0.638 0.534
O1 O 0.003 0.669 0.051
O2 O 0.033 0.430 0.422
O3 O 0.076 0.976 0.713
O4 O 0.239 0.939 0.185
O5 O 0.256 0.347 0.054
O6 O 0.296 0.508 0.782
O7 O 0.386 0.907 0.870
O8 O 0.415 0.076 0.437
O9 O 0.498 0.446 0.402
O10 O 0.524 0.650 0.058
O11 O 0.635 0.023 0.016
O12 O 0.658 0.210 0.593
O13 O 0.785 0.585 0.706
O14 O 0.809 0.157 0.280
O15 O 0.811 0.797 0.463
O16 O 0.940 0.337 0.932
```